1.
BaPrMn2O6: calculated XRD peak list (Cu Kα, 1.54184 Å), based on a structure optimized by DFT (PBE+U).
Neutral-atom scattering factors, no anomalous dispersion.

Principal peaks in the range 10 to 80 degrees two-theta, by angle:
2θ (°)  I/Imax  h k l
11.18  1  0 0 1
22.48  15  0 0 2
32.01  100  1 1 0
39.47  20  1 1 2
45.90  33  2 0 0
51.69  8  2 0 2
57.05  39  1 1 4
66.93  19  2 2 0
71.58  4  0 0 6
76.12  16  3 1 0

Structural model:
Lattice parameters (Å, degrees): 3.9536 3.9536 7.9128 90.00 90.00 90.00
Space group P4/mmm (No. 123)
Asymmetric unit:
Ba1 0.0000 0.0000 0.0000 (multiplicity 1)
Pr1 0.0000 0.0000 0.5000 (multiplicity 1)
Mn1 0.5000 0.5000 0.2527 (multiplicity 2)
O1 0.0000 0.5000 0.2735 (multiplicity 4)
O2 0.5000 0.5000 0.0000 (multiplicity 1)
O3 0.5000 0.5000 0.5000 (multiplicity 1)



2.
MgCo5SnO12: calculated XRD peak list (Cu Kα, 1.54184 Å), based on a structure optimized by DFT (PBE+U).
Neutral-atom scattering factors, no anomalous dispersion.

Principal peaks in the range 10 to 80 degrees two-theta, by angle:
2θ (°)  I/Imax  h k l
17.95  100  0 0 2
35.24  11  1 1 0
35.83  10  1 -2 1
36.08  10  -2 1 1
37.18  18  1 1 -2
37.47  9  2 -1 1
42.32  9  1 1 2
43.31  8  1 -2 3
43.49  8  -2 1 3
46.75  8  -1 2 3
47.02  8  2 -1 3
47.19  8  1 1 -4

Structural model:
Lattice parameters (Å, degrees): 5.0590 5.0973 10.0010 94.41 94.45 119.01
Space group P1 (No. 1)
Asymmetric unit:
Mg1 0.0000 0.0000 0.0000 (multiplicity 1)
Co1 0.0806 0.0825 0.2655 (multiplicity 1)
Co2 0.2646 0.9457 0.7500 (multiplicity 1)
Co3 0.4092 0.7450 0.2463 (multiplicity 1)
Co4 0.5987 0.6156 0.7471 (multiplicity 1)
Co5 0.7423 0.4122 0.2493 (multiplicity 1)
Sn1 0.9300 0.2748 0.7325 (multiplicity 1)
O1 0.0550 0.3642 0.1509 (multiplicity 1)
O2 0.1211 0.7784 0.3434 (multiplicity 1)
O3 0.2650 0.6161 0.6489 (multiplicity 1)
O4 0.2715 0.2641 0.8622 (multiplicity 1)
O5 0.3511 0.0374 0.1509 (multiplicity 1)
O6 0.4344 0.4496 0.3429 (multiplicity 1)
O7 0.5332 0.2452 0.6524 (multiplicity 1)
O8 0.6282 0.9608 0.8531 (multiplicity 1)
O9 0.7346 0.7486 0.1506 (multiplicity 1)
O10 0.7590 0.0885 0.3444 (multiplicity 1)
O11 0.9332 0.9036 0.6407 (multiplicity 1)
O12 0.9651 0.6632 0.8509 (multiplicity 1)



3.
Na2NiPCO7: calculated XRD peak list (Cu Kα, 1.54184 Å), based on a structure optimized by DFT (PBE+U).
Neutral-atom scattering factors, no anomalous dispersion.

Principal peaks in the range 10 to 80 degrees two-theta, by angle:
2θ (°)  I/Imax  h k l
16.66  35  0 0 2
16.84  28  0 2 0
19.67  37  1 1 1
20.08  52  -1 1 1
21.82  27  1 1 -1
26.18  44  1 2 2
27.01  100  0 2 -2
33.71  54  1 3 -1
34.03  33  1 -3 1
34.66  74  2 0 0
42.39  27  2 3 1
55.68  25  0 4 -4

Structural model:
Lattice parameters (Å, degrees): 5.1759 10.9862 11.1030 73.43 88.98 88.82
Space group P-1 (No. 2)
Asymmetric unit:
Na1 0.2200 0.0635 0.3487 (multiplicity 2)
Na2 0.2458 0.6205 0.1356 (multiplicity 2)
Na3 0.2478 0.3844 0.3766 (multiplicity 2)
Na4 0.2500 0.8995 0.8723 (multiplicity 2)
Ni1 0.2178 0.7050 0.4499 (multiplicity 2)
Ni2 0.2220 0.2033 0.9528 (multiplicity 2)
P1 0.2756 0.4143 0.6647 (multiplicity 2)
P2 0.2833 0.9119 0.1636 (multiplicity 2)
C1 0.2855 0.8350 0.5961 (multiplicity 2)
C2 0.2866 0.3388 0.0886 (multiplicity 2)
O1 0.0543 0.8140 0.5635 (multiplicity 2)
O2 0.0610 0.3074 0.0565 (multiplicity 2)
O3 0.1337 0.8398 0.0863 (multiplicity 2)
O4 0.1355 0.3393 0.5874 (multiplicity 2)
O5 0.2017 0.3700 0.8053 (multiplicity 2)
O6 0.2046 0.5580 0.6180 (multiplicity 2)
O7 0.2160 0.0566 0.1252 (multiplicity 2)
O8 0.2262 0.8665 0.3055 (multiplicity 2)
O9 0.3150 0.4057 0.1610 (multiplicity 2)
O10 0.3285 0.9017 0.6694 (multiplicity 2)
O11 0.4235 0.1039 0.8660 (multiplicity 2)
O12 0.4271 0.6032 0.3533 (multiplicity 2)
O13 0.4735 0.7872 0.5430 (multiplicity 2)
O14 0.4784 0.2898 0.0380 (multiplicity 2)



4.
Li2FeCo3O8: calculated XRD peak list (Cu Kα, 1.54184 Å), based on a structure optimized by DFT (PBE+U).
Neutral-atom scattering factors, no anomalous dispersion.

Principal peaks in the range 10 to 80 degrees two-theta, by angle:
2θ (°)  I/Imax  h k l
19.04  100  1 1 1
36.92  46  3 1 1
38.62  13  2 2 2
44.90  52  4 0 0
49.18  10  3 3 1
59.48  20  5 1 1
65.38  30  4 4 0
68.78  14  5 3 1
77.52  5  5 3 3
78.58  7  6 2 2

Structural model:
Lattice parameters (Å, degrees): 8.0750 8.0750 8.0750 90.00 90.00 90.00
Space group P4_332 (No. 212)
Asymmetric unit:
Li1 0.0010 0.0010 0.0010 (multiplicity 8)
Fe1 0.1250 0.8750 0.3750 (multiplicity 4)
Co1 0.1240 0.1260 0.6250 (multiplicity 12)
O1 0.1097 0.3881 0.1115 (multiplicity 24)
O2 0.1115 0.6115 0.8885 (multiplicity 8)